# 1
Computed PXRD pattern of BaPbS2O8 for Cu Ka, from the GGA-PBE geometry in Alexandria.
Intensities are scaled so that the largest is 100.

Cell and atoms:
```
BaPbS2O8
1.0
5.573 0.000 0.000
0.000 7.225 0.000
0.000 0.000 8.821
Ba Pb S O
2 2 4 16
direct
0.000 0.094 0.000
0.000 0.906 0.500
0.500 0.426 0.398
0.500 0.574 0.898
0.000 0.434 0.616
0.000 0.566 0.116
0.500 0.071 0.746
0.500 0.929 0.246
0.000 0.294 0.493
0.000 0.354 0.769
0.000 0.646 0.269
0.000 0.706 0.993
0.219 0.444 0.097
0.219 0.556 0.597
0.282 0.047 0.262
0.282 0.953 0.762
0.500 0.158 0.593
0.500 0.213 0.870
0.500 0.787 0.370
0.500 0.842 0.093
0.718 0.047 0.262
0.718 0.953 0.762
0.781 0.444 0.097
0.781 0.556 0.597
```

Top 8 peaks for 2θ = 10–90°, low angle first:
2theta	I/Imax
20.13	72
22.53	36
25.76	52
26.67	51
28.62	100
32.12	39
42.18	83
42.86	49

# 2
Computed PXRD pattern of BaSrPb2O6 for Cu Ka, from the GGA-PBE geometry in Alexandria.
Intensities are scaled so that the largest is 100.

Cell and atoms:
```
BaSrPb2O6
1.0
8.611 0.000 0.000
0.000 6.062 0.000
0.000 0.000 6.128
Ba Sr Pb O
2 2 4 12
direct
0.000 0.240 0.000
0.000 0.760 0.500
0.500 0.258 0.079
0.500 0.742 0.579
0.256 0.250 0.535
0.256 0.750 0.035
0.744 0.250 0.535
0.744 0.750 0.035
0.000 0.319 0.546
0.000 0.681 0.046
0.215 0.043 0.242
0.215 0.957 0.742
0.305 0.459 0.822
0.305 0.541 0.322
0.500 0.153 0.492
0.500 0.847 0.992
0.695 0.459 0.822
0.695 0.541 0.322
0.785 0.043 0.242
0.785 0.957 0.742
```

Top 8 peaks for 2θ = 10–90°, low angle first:
2theta	I/Imax
20.62	23
29.14	24
29.32	100
29.47	24
41.94	38
51.78	19
52.16	35
68.94	17

# 3
Computed PXRD pattern of BaSrPbO4 for Cu Ka, from the GGA-PBE geometry in Alexandria.
Intensities are scaled so that the largest is 100.

Cell and atoms:
```
BaSrPbO4
1.0
3.074 -6.537 0.000
3.074 6.537 0.000
0.000 0.000 6.154
Ba Sr Pb O
2 2 2 8
direct
0.104 0.896 0.750
0.896 0.104 0.250
0.393 0.607 0.750
0.607 0.393 0.250
0.253 0.747 0.250
0.747 0.253 0.750
0.000 0.500 0.000
0.000 0.500 0.500
0.088 0.912 0.250
0.421 0.579 0.250
0.500 0.000 0.000
0.500 0.000 0.500
0.579 0.421 0.750
0.912 0.088 0.750
```

Top 8 peaks for 2θ = 10–90°, low angle first:
2theta	I/Imax
13.55	18
29.02	100
40.24	12
41.50	27
51.43	37
60.14	16
68.17	13
83.00	9